For Te4Mo3WSe2S2, DFT lattice parameters and positions (GGA-PBE) gives the simulated PXRD pattern in this record (Cu Kα (weighted mean of Kα1 and Kα2)).
Peak positions follow from Bragg's law for the DFT cell and can differ from measured ones.

Structure:
a = 3.3998 Å, b = 3.3998 Å, c = 38.6655 Å
α = 90.00°, β = 90.00°, γ = 120.00°
Space group P3m1 (No. 156)
Inequivalent atoms, fractional coordinates:
Te (0.0000, 0.0000, 0.0000) (multiplicity 1)
Te (0.0000, 0.0000, 0.0974) (multiplicity 1)
Te (0.3333, 0.6667, 0.4367) (multiplicity 1)
Te (0.3333, 0.6667, 0.5335) (multiplicity 1)
Mo (0.0000, 0.0000, 0.4851) (multiplicity 1)
Mo (0.0000, 0.0000, 0.8608) (multiplicity 1)
Mo (0.3333, 0.6667, 0.6729) (multiplicity 1)
W (0.3333, 0.6667, 0.0487) (multiplicity 1)
Se (0.3333, 0.6667, 0.8182) (multiplicity 1)
Se (0.3333, 0.6667, 0.9034) (multiplicity 1)
S (0.0000, 0.0000, 0.6341) (multiplicity 1)
S (0.0000, 0.0000, 0.7118) (multiplicity 1)

Largest 6 diffraction maxima, low angle first, 2θ = 5–70°:
two_theta, Rel. int.
6.86, 68.4
11.44, 94.7
30.37, 50.7
35.71, 100.0
43.24, 54.4
53.94, 32.7

***

For LuAlFe, DFT lattice parameters and positions (GGA-PBE) gives the simulated PXRD pattern in this record (Cu Kα (weighted mean of Kα1 and Kα2)).
Peak positions follow from Bragg's law for the DFT cell and can differ from measured ones.

Structure:
a = 8.4607 Å, b = 5.3004 Å, c = 9.2132 Å
α = 90.00°, β = 90.00°, γ = 90.00°
Space group Amm2 (No. 38)
Inequivalent atoms, fractional coordinates:
Lu (0.1843, 0.0000, 0.0000) (multiplicity 4)
Lu (0.3001, 0.0000, 0.6701) (multiplicity 4)
Al (0.0000, 0.0000, 0.4983) (multiplicity 2)
Al (0.5000, 0.0000, 0.1682) (multiplicity 2)
Al (0.5000, 0.2452, 0.4149) (multiplicity 4)
Fe (0.0000, 0.2490, 0.2537) (multiplicity 4)
Fe (0.2390, 0.0000, 0.3264) (multiplicity 4)

Largest 6 diffraction maxima, low angle first, 2θ = 5–70°:
two_theta, Rel. int.
21.00, 27.9
33.76, 86.7
37.41, 84.8
40.10, 100.0
62.76, 26.3
68.90, 23.1

***

For BaCu3O4, DFT lattice parameters and positions (GGA-PBE) gives the simulated PXRD pattern in this record (Cu Kα (weighted mean of Kα1 and Kα2)).
Peak positions follow from Bragg's law for the DFT cell and can differ from measured ones.

Structure:
a = 5.9120 Å, b = 12.2954 Å, c = 5.0395 Å
α = 90.00°, β = 90.00°, γ = 90.00°
Space group Cmmm (No. 65)
Inequivalent atoms, fractional coordinates:
Ba (0.0000, 0.0000, 0.0000) (multiplicity 2)
Cu (0.0000, 0.2455, 0.0000) (multiplicity 4)
Cu (0.0000, 0.5000, 0.0000) (multiplicity 2)
O (0.2239, 0.3531, 0.0000) (multiplicity 8)

Largest 6 diffraction maxima, low angle first, 2θ = 5–70°:
two_theta, Rel. int.
17.60, 100.0
34.17, 17.8
35.20, 15.8
35.63, 16.5
42.42, 18.4
46.26, 28.1

***

For Ba3NdIrRuO9, DFT lattice parameters and positions (GGA-PBE) gives the simulated PXRD pattern in this record (Cu Kα (weighted mean of Kα1 and Kα2)).
Peak positions follow from Bragg's law for the DFT cell and can differ from measured ones.

Structure:
a = 6.0004 Å, b = 6.0004 Å, c = 14.9952 Å
α = 90.00°, β = 90.00°, γ = 120.00°
Space group P6_3mc (No. 186)
Inequivalent atoms, fractional coordinates:
Ba (0.0000, 0.0000, 0.0000) (multiplicity 2)
Ba (0.3333, 0.6667, 0.1494) (multiplicity 2)
Ba (0.3333, 0.6667, 0.8521) (multiplicity 2)
Nd (0.0000, 0.0000, 0.2520) (multiplicity 2)
Ir (0.3333, 0.6667, 0.4171) (multiplicity 2)
Ru (0.3333, 0.6667, 0.5846) (multiplicity 2)
O (0.0192, 0.5096, 0.5012) (multiplicity 6)
O (0.1775, 0.3550, 0.3411) (multiplicity 6)
O (0.1784, 0.3569, 0.6575) (multiplicity 6)

Largest 6 diffraction maxima, low angle first, 2θ = 5–70°:
two_theta, Rel. int.
24.71, 20.0
29.38, 65.0
29.78, 100.0
42.32, 36.2
52.61, 24.3
52.85, 20.2

***

For LaTa2NO5, DFT lattice parameters and positions (GGA-PBE) gives the simulated PXRD pattern in this record (Cu Kα (weighted mean of Kα1 and Kα2)).
Peak positions follow from Bragg's law for the DFT cell and can differ from measured ones.

Structure:
a = 5.5294 Å, b = 7.7412 Å, c = 11.3056 Å
α = 89.97°, β = 90.00°, γ = 89.98°
Space group P1 (No. 1)
Inequivalent atoms, fractional coordinates:
La (0.0000, 0.0000, 0.0000) (multiplicity 1)
La (0.0934, 0.4934, 0.0812) (multiplicity 1)
La (0.4964, 0.4933, 0.5754) (multiplicity 1)
La (0.6014, 0.9982, 0.4990) (multiplicity 1)
Ta (0.0127, 0.2418, 0.6872) (multiplicity 1)
Ta (0.0132, 0.7387, 0.6799) (multiplicity 1)
Ta (0.0855, 0.2435, 0.3968) (multiplicity 1)
Ta (0.0871, 0.7500, 0.3949) (multiplicity 1)
Ta (0.4948, 0.2467, 0.8919) (multiplicity 1)
Ta (0.5055, 0.7422, 0.8956) (multiplicity 1)
Ta (0.5870, 0.7422, 0.1816) (multiplicity 1)
Ta (0.5898, 0.2487, 0.1812) (multiplicity 1)
N (0.0018, 0.9954, 0.3924) (multiplicity 1)
N (0.0925, 0.4974, 0.6834) (multiplicity 1)
N (0.1779, 0.1869, 0.8309) (multiplicity 1)
N (0.5000, 0.4967, 0.1814) (multiplicity 1)
O (0.1830, 0.8045, 0.8273) (multiplicity 1)
O (0.2009, 0.4963, 0.4163) (multiplicity 1)
O (0.2753, 0.2104, 0.5614) (multiplicity 1)
O (0.2784, 0.7819, 0.5616) (multiplicity 1)
O (0.3204, 0.2090, 0.0626) (multiplicity 1)
O (0.3198, 0.7827, 0.0601) (multiplicity 1)
O (0.4058, 0.4980, 0.9164) (multiplicity 1)
O (0.4198, 0.1907, 0.3270) (multiplicity 1)
O (0.4201, 0.8014, 0.3272) (multiplicity 1)
O (0.5980, 0.9947, 0.8958) (multiplicity 1)
O (0.6744, 0.2995, 0.7494) (multiplicity 1)
O (0.6765, 0.6943, 0.7513) (multiplicity 1)
O (0.6978, 0.9954, 0.1592) (multiplicity 1)
O (0.7766, 0.2792, 0.0171) (multiplicity 1)
O (0.7769, 0.7124, 0.0129) (multiplicity 1)
O (0.8145, 0.2826, 0.5101) (multiplicity 1)
O (0.8200, 0.7104, 0.5149) (multiplicity 1)
O (0.8919, 0.9968, 0.6595) (multiplicity 1)
O (0.9200, 0.6896, 0.2484) (multiplicity 1)
O (0.9214, 0.3028, 0.2488) (multiplicity 1)

Largest 6 diffraction maxima, low angle first, 2θ = 5–70°:
two_theta, Rel. int.
22.98, 26.1
28.67, 84.5
29.25, 100.0
32.38, 35.6
39.48, 23.0
51.95, 24.6

***

For Sn3S7, DFT lattice parameters and positions (GGA-PBE) gives the simulated PXRD pattern in this record (Cu Kα (weighted mean of Kα1 and Kα2)).
Peak positions follow from Bragg's law for the DFT cell and can differ from measured ones.

Structure:
a = 23.1227 Å, b = 13.3308 Å, c = 16.2876 Å
α = 90.00°, β = 108.20°, γ = 90.00°
Space group C2/c (No. 15)
Inequivalent atoms, fractional coordinates:
Sn (0.0743, 0.1603, 0.2388) (multiplicity 8)
Sn (0.2057, 0.3050, 0.2385) (multiplicity 8)
Sn (0.2126, 0.0347, 0.2408) (multiplicity 8)
S (0.0356, 0.1551, 0.3630) (multiplicity 8)
S (0.0945, 0.3204, 0.1775) (multiplicity 8)
S (0.1025, 0.0069, 0.1761) (multiplicity 8)
S (0.1875, 0.1672, 0.3451) (multiplicity 8)
S (0.2254, 0.4365, 0.1354) (multiplicity 8)
S (0.2382, 0.0909, 0.6379) (multiplicity 8)
S (0.2446, 0.3263, 0.8218) (multiplicity 8)

Largest 6 diffraction maxima, low angle first, 2θ = 5–70°:
two_theta, Rel. int.
7.76, 28.6
8.05, 47.4
8.86, 51.3
10.36, 46.4
11.44, 100.0
11.76, 21.8